# 1
Theoretical powder XRD pattern of La5Tm5Th2 for Cu Kα (weighted mean of Kα1 and Kα2), from the PBE geometry in Alexandria.
Kinematic intensities with the Lorentz-polarization factor, no thermal factor.

Top 12 peaks for 2θ from 15° to 90°, sorted by position:
2θ/deg  intensity
29.31  63
29.60  245
30.76  298
31.62  1000
43.21  176
47.35  82
53.79  134
55.21  126
55.24  99
56.83  74
57.53  94
66.02  94

Cell and atoms:
Lattice parameters (Å, degrees): 8.7513 8.7513 9.7616 118.46 118.46 38.80
Atoms (fractional coordinates):
La: 0.0000 0.0000 0.0000
La: 0.0887 0.0887 0.4265
La: 0.2675 0.2675 0.2843
La: 0.7325 0.7325 0.7157
La: 0.9113 0.9113 0.5735
Tm: 0.3447 0.3447 0.7110
Tm: 0.4203 0.4203 0.1170
Tm: 0.5000 0.5000 0.5000
Tm: 0.5797 0.5797 0.8830
Tm: 0.6553 0.6553 0.2890
Th: 0.1859 0.1859 0.8668
Th: 0.8141 0.8141 0.1332

# 2
Theoretical powder XRD pattern of LaTm3Th3 for Cu Kα (weighted mean of Kα1 and Kα2), from the PBE geometry in Alexandria.
Kinematic intensities with the Lorentz-polarization factor, no thermal factor.

Top 12 peaks for 2θ from 15° to 90°, sorted by position:
2θ/deg  intensity
24.53  95
28.53  143
31.88  555
31.98  470
32.15  1000
33.48  879
34.60  156
48.32  116
54.19  154
56.24  133
58.78  96
59.12  171

Cell and atoms:
Lattice parameters (Å, degrees): 10.7137 10.7137 8.2700 90.07 90.07 89.37
Atoms (fractional coordinates):
La: 0.0000 0.0000 0.0000
La: 0.1464 0.1464 0.6629
La: 0.1992 0.4466 0.7924
La: 0.4466 0.1992 0.7924
Tm: 0.1710 0.9405 0.3502
Tm: 0.2006 0.6726 0.0879
Tm: 0.3944 0.6304 0.4146
Tm: 0.4330 0.4330 0.0994
Tm: 0.4536 0.9192 0.5592
Tm: 0.6304 0.3944 0.4146
Tm: 0.6726 0.2006 0.0879
Tm: 0.6750 0.9065 0.8775
Tm: 0.6945 0.6945 0.5594
Tm: 0.9065 0.6750 0.8775
Tm: 0.9192 0.4536 0.5592
Tm: 0.9405 0.1710 0.3502
Th: 0.1696 0.7437 0.6594
Th: 0.1717 0.3983 0.3327
Th: 0.3983 0.1717 0.3327
Th: 0.4248 0.9053 0.1152
Th: 0.4466 0.6694 0.8233
Th: 0.6537 0.6537 0.1463
Th: 0.6694 0.4466 0.8233
Th: 0.7161 0.9468 0.3060
Th: 0.7437 0.1696 0.6594
Th: 0.9053 0.4248 0.1152
Th: 0.9216 0.9216 0.6146
Th: 0.9468 0.7161 0.3060

# 3
Theoretical powder XRD pattern of LaTm2Th2 for Cu Kα (weighted mean of Kα1 and Kα2), from the PBE geometry in Alexandria.
Kinematic intensities with the Lorentz-polarization factor, no thermal factor.

Top 12 peaks for 2θ from 15° to 90°, sorted by position:
2θ/deg  intensity
29.51  270
30.59  464
31.40  1000
34.34  835
51.14  339
52.91  223
58.70  192
60.78  405
61.25  153
63.06  148
85.38  132
85.95  159

Cell and atoms:
Lattice parameters (Å, degrees): 3.5723 3.5723 14.6119 90.00 90.00 120.00
Atoms (fractional coordinates):
La: 0.0000 0.0000 0.0000
Tm: 0.3333 0.6667 0.7980
Tm: 0.6667 0.3333 0.2020
Th: 0.3333 0.6667 0.4007
Th: 0.6667 0.3333 0.5993

# 4
Theoretical powder XRD pattern of La5Tm2Th for Cu Kα (weighted mean of Kα1 and Kα2), from the PBE geometry in Alexandria.
Kinematic intensities with the Lorentz-polarization factor, no thermal factor.

Top 12 peaks for 2θ from 15° to 90°, sorted by position:
2θ/deg  intensity
29.97  1000
34.68  337
34.87  169
49.86  120
50.00  241
59.27  283
59.52  144
62.28  123
81.05  56
81.27  117
83.69  53
84.02  55

Cell and atoms:
Lattice parameters (Å, degrees): 7.3192 14.6260 5.1460 90.00 90.00 90.00
Atoms (fractional coordinates):
La: 0.0000 0.0000 0.0000
La: 0.0100 0.2534 0.0000
La: 0.2473 0.3773 0.5000
La: 0.2527 0.8773 0.5000
La: 0.4900 0.7534 0.0000
La: 0.5000 0.5000 0.0000
La: 0.5100 0.2466 0.0000
La: 0.7473 0.1227 0.5000
La: 0.7527 0.6227 0.5000
La: 0.9900 0.7466 0.0000
Tm: 0.2379 0.6204 0.5000
Tm: 0.2621 0.1204 0.5000
Tm: 0.7379 0.8796 0.5000
Tm: 0.7621 0.3796 0.5000
Th: 0.0000 0.5000 0.0000
Th: 0.5000 0.0000 0.0000

# 5
Theoretical powder XRD pattern of La4Tm4Th for Cu Kα (weighted mean of Kα1 and Kα2), from the PBE geometry in Alexandria.
Kinematic intensities with the Lorentz-polarization factor, no thermal factor.

Top 12 peaks for 2θ from 15° to 90°, sorted by position:
2θ/deg  intensity
30.30  1000
35.09  337
35.21  169
50.53  361
60.01  283
60.17  144
63.03  123
74.16  37
82.16  57
82.30  116
84.80  106
85.05  55

Cell and atoms:
Lattice parameters (Å, degrees): 8.0844 8.0844 8.0844 95.70 95.70 143.25
Atoms (fractional coordinates):
La: 0.0000 0.3278 0.3278
La: 0.0000 0.6722 0.6722
La: 0.3278 0.0000 0.3278
La: 0.6722 0.0000 0.6722
Tm: 0.3383 0.3383 0.6766
Tm: 0.3383 0.6617 0.0000
Tm: 0.6617 0.3383 0.0000
Tm: 0.6617 0.6617 0.3234
Th: 0.0000 0.0000 0.0000

# 6
Theoretical powder XRD pattern of La2Tm4Th3 for Cu Kα (weighted mean of Kα1 and Kα2), from the PBE geometry in Alexandria.
Kinematic intensities with the Lorentz-polarization factor, no thermal factor.

Top 12 peaks for 2θ from 15° to 90°, sorted by position:
2θ/deg  intensity
29.01  401
30.08  416
30.73  120
32.01  542
33.59  1000
42.28  254
51.42  334
56.73  294
60.73  348
62.83  198
80.09  110
85.41  143

Cell and atoms:
Lattice parameters (Å, degrees): 3.5540 3.5540 26.7353 90.00 90.00 120.00
Atoms (fractional coordinates):
La: 0.0000 0.0000 0.0000
La: 0.0000 0.0000 0.2252
Tm: 0.0000 0.0000 0.3531
Tm: 0.0000 0.0000 0.5682
Tm: 0.3333 0.6667 0.6718
Tm: 0.3333 0.6667 0.8869
Th: 0.0000 0.0000 0.7800
Th: 0.3333 0.6667 0.1131
Th: 0.3333 0.6667 0.4585

# 7
Theoretical powder XRD pattern of LaYTm5Th2 for Cu Kα (weighted mean of Kα1 and Kα2), from the PBE geometry in Alexandria.
Kinematic intensities with the Lorentz-polarization factor, no thermal factor.

Top 12 peaks for 2θ from 15° to 90°, sorted by position:
2θ/deg  intensity
28.34  521
28.65  858
31.17  1000
31.77  292
34.00  153
36.87  339
37.52  250
42.30  296
48.54  152
51.98  186
58.26  155
63.87  143

Cell and atoms:
Lattice parameters (Å, degrees): 9.7955 9.7955 9.7955 125.91 125.91 80.03
Atoms (fractional coordinates):
La: 0.2500 0.2500 0.0000
La: 0.7500 0.7500 0.0000
Y: 0.2500 0.7500 0.5000
Y: 0.7500 0.2500 0.5000
Tm: 0.0000 0.0000 0.0000
Tm: 0.0709 0.5709 0.9133
Tm: 0.1576 0.0709 0.5000
Tm: 0.3424 0.8424 0.9133
Tm: 0.4291 0.3424 0.5000
Tm: 0.5000 0.5000 0.0000
Tm: 0.5709 0.6576 0.5000
Tm: 0.6576 0.1576 0.0867
Tm: 0.8424 0.9291 0.5000
Tm: 0.9291 0.4291 0.0867
Th: 0.1184 0.3816 0.5000
Th: 0.3816 0.8816 0.2632
Th: 0.6184 0.1184 0.7368
Th: 0.8816 0.6184 0.5000

# 8
Theoretical powder XRD pattern of La5YTm2Th for Cu Kα (weighted mean of Kα1 and Kα2), from the PBE geometry in Alexandria.
Kinematic intensities with the Lorentz-polarization factor, no thermal factor.

Top 12 peaks for 2θ from 15° to 90°, sorted by position:
2θ/deg  intensity
18.60  82
26.30  136
30.12  184
31.14  1000
32.36  130
32.57  313
33.09  84
33.46  194
47.39  147
57.23  179
58.36  96
60.59  99

Cell and atoms:
Lattice parameters (Å, degrees): 11.1729 11.1729 10.7135 90.00 90.00 151.51
Atoms (fractional coordinates):
La: 0.0000 0.0000 0.0000
La: 0.0000 0.0000 0.5000
La: 0.1272 0.8728 0.7500
La: 0.2235 0.7765 0.0572
La: 0.2235 0.7765 0.4428
La: 0.4974 0.5026 0.2500
La: 0.5026 0.4974 0.7500
La: 0.7765 0.2235 0.5572
La: 0.7765 0.2235 0.9428
La: 0.8728 0.1272 0.2500
Y: 0.1022 0.8978 0.2500
Y: 0.8978 0.1022 0.7500
Tm: 0.3883 0.6117 0.5084
Tm: 0.3883 0.6117 0.9916
Tm: 0.6117 0.3883 0.0084
Tm: 0.6117 0.3883 0.4916
Th: 0.2875 0.7125 0.7500
Th: 0.7125 0.2875 0.2500